Na3N: simulated powder XRD pattern (Cu Kα), based on a crystal structure in the Materials Project, relaxed with PBE.
Intensities are scaled so that the largest is 100.

Structural model:
Unit cell a=4.746 b=4.746 c=4.746 alpha=90.00 beta=90.00 gamma=90.00
Fractional positions:
Na: 0.000 0.000 0.500
Na: 0.000 0.500 0.000
Na: 0.500 0.000 0.000
N: 0.000 0.000 0.000

The 12 most intense peaks (10 to 90 degrees two-theta), in order of rising 2θ:
two_theta, I/Imax
18.70, 100.0
26.56, 5.1
32.68, 72.1
37.92, 74.8
42.60, 38.7
54.70, 45.3
58.33, 16.0
65.20, 26.8
68.49, 13.6
71.70, 6.0
81.05, 5.7
84.09, 7.0